Record 1
Simulated PXRD pattern of Ni7PtRh2 for Cu Kα, 1.54184 Å, from a crystal structure in Alexandria, relaxed with GGA-PBE.
Lines closer than 0.1° are merged.

Structural model:
a b c (Å): 13.371 2.592 7.637
angles (deg): 90.00 108.00 90.00
Space group C2/m (No. 12)
One atom of each set of equivalent atoms:
1 Ni 0.000 0.000 0.000 x2
2 Ni 0.097 0.000 0.310 x4
3 Ni 0.110 0.000 0.801 x4
4 Ni 0.182 0.500 0.091 x4
5 Pt 0.000 0.500 0.500 x2
6 Rh 0.209 0.500 0.617 x4

Top 10 peaks for 15 to 90 degrees two-theta, most intense first:
Position (°2θ)	Rel. int.
42.16	100
43.23	35
50.26	33
47.64	29
36.76	16
48.96	15
71.02	11
44.72	11
72.48	10
34.10	10

---

Record 2
Simulated PXRD pattern of Ni3PtRh4 for Cu Kα, 1.54184 Å, from a crystal structure in Alexandria, relaxed with GGA-PBE.
Lines closer than 0.1° are merged.

Structural model:
a b c (Å): 8.536 2.657 9.789
angles (deg): 90.00 93.80 90.00
Space group C2/m (No. 12)
One atom of each set of equivalent atoms:
1 Ni 0.000 0.000 0.000 x2
2 Ni 0.238 0.000 0.619 x4
3 Pt 0.000 0.500 0.500 x2
4 Rh 0.026 0.500 0.766 x4
5 Rh 0.234 0.500 0.117 x4

Top 10 peaks for 15 to 90 degrees two-theta, most intense first:
Position (°2θ)	Rel. int.
41.39	100
45.78	94
47.36	81
42.45	79
36.79	74
43.95	69
35.39	57
22.21	36
73.65	32
53.91	25

---

Record 3
Simulated PXRD pattern of Ni2Pt4Rh for Cu Kα, 1.54184 Å, from a crystal structure in Alexandria, relaxed with GGA-PBE.
Lines closer than 0.1° are merged.

Structural model:
a b c (Å): 6.471 6.471 10.657
angles (deg): 90.00 90.00 90.00
Space group I4/mcm (No. 140)
One atom of each set of equivalent atoms:
1 Ni 0.139 0.361 0.000 x8
2 Pt 0.157 0.343 0.347 x16
3 Rh 0.000 0.000 0.250 x4

Top 10 peaks for 15 to 90 degrees two-theta, most intense first:
Position (°2θ)	Rel. int.
40.19	100
44.26	30
32.05	23
85.26	16
16.64	14
64.96	13
19.40	11
83.55	10
60.72	9
69.80	9

---

Record 4
Simulated PXRD pattern of Ni23Pt6Rh for Cu Kα, 1.54184 Å, from a crystal structure in Alexandria, relaxed with GGA-PBE.
Lines closer than 0.1° are merged.

Structural model:
a b c (Å): 11.378 11.378 11.378
angles (deg): 90.00 90.00 90.00
Space group Fm-3m (No. 225)
One atom of each set of equivalent atoms:
1 Ni 0.000 0.000 0.000 x4
2 Ni 0.000 0.250 0.250 x24
3 Ni 0.124 0.124 0.124 x32
4 Ni 0.162 0.162 0.338 x32
5 Pt 0.000 0.000 0.267 x24
6 Rh 0.000 0.000 0.500 x4

Top 10 peaks for 15 to 90 degrees two-theta, most intense first:
Position (°2θ)	Rel. int.
45.07	100
83.19	23
41.23	22
35.28	20
31.45	17
27.15	17
65.64	11
74.60	10
38.77	10
47.97	10

---

Record 5
Simulated PXRD pattern of Ni10PtRh4 for Cu Kα, 1.54184 Å, from a crystal structure in Alexandria, relaxed with GGA-PBE.
Lines closer than 0.1° are merged.

Structural model:
a b c (Å): 8.842 7.137 6.663
angles (deg): 90.00 111.98 90.00
Space group C2/m (No. 12)
One atom of each set of equivalent atoms:
1 Ni 0.000 0.191 0.000 x4
2 Ni 0.101 0.310 0.401 x8
3 Ni 0.201 0.190 0.803 x8
4 Pt 0.000 0.000 0.500 x2
5 Rh 0.097 0.500 0.897 x4
6 Rh 0.202 0.000 0.295 x4

Top 10 peaks for 15 to 90 degrees two-theta, most intense first:
Position (°2θ)	Rel. int.
43.65	100
37.03	81
48.48	60
42.74	60
48.62	60
24.46	46
57.68	22
57.93	21
76.21	19
78.90	17